The following is a theoretical powder diffractogram of Tb3Ga5Au6. It was derived from a structure optimized by DFT (GGA-PBE), using a wavelength of 1.5418 Å.
Kinematic intensities with the Lorentz-polarization factor, no thermal factor.

Main lines, in order of rising 2θ (10 to 90 degrees two-theta):
2theta	d_spacing	I (rel.)
30.08	2.971	18.9
34.32	2.613	100.0
34.63	2.590	21.9
35.01	2.563	25.5
39.31	2.292	20.3
40.16	2.246	29.0
40.51	2.227	21.5
41.47	2.177	39.0
59.10	1.563	18.8
66.10	1.414	18.2

Cell lengths 4.355, 13.479, 9.509 Å; angles 90.00, 90.00, 90.00 degrees
Space group Pmmn (No. 59, origin choice 2)
Unique sites:
Tb  0.250  0.073  0.240 (multiplicity 4)
Tb  0.250  0.750  0.244 (multiplicity 2)
Ga  0.250  0.083  0.857 (multiplicity 4)
Ga  0.250  0.640  0.548 (multiplicity 4)
Ga  0.250  0.750  0.797 (multiplicity 2)
Au  0.250  0.053  0.591 (multiplicity 4)
Au  0.250  0.250  0.020 (multiplicity 2)
Au  0.250  0.250  0.495 (multiplicity 2)
Au  0.250  0.596  0.998 (multiplicity 4)